# 1
Simulated X-ray diffraction stick pattern
Compound: CsSbPO4F3
Radiation: Cu Kα X-rays
Structure: a structure optimized by DFT (GGA-PBE)
Kinematic intensities with the Lorentz-polarization factor, no thermal factor.

Structure:
a = 10.2515 Å, b = 5.7484 Å, c = 12.8865 Å
α = 90.00°, β = 110.38°, γ = 90.00°
Space group P2_1/c (No. 14)
One atom of each set of equivalent atoms:
Cs (0.1558, 0.2429, 0.3658) [4 per cell]
Sb (0.2809, 0.7271, 0.6373) [4 per cell]
P (0.4255, 0.2305, 0.6763) [4 per cell]
O (0.3662, 0.0148, 0.5958) [4 per cell]
O (0.3720, 0.0527, 0.0947) [4 per cell]
O (0.3889, 0.2350, 0.7779) [4 per cell]
O (0.4095, 0.7264, 0.7951) [4 per cell]
F (0.1488, 0.5029, 0.6558) [4 per cell]
F (0.1539, 0.5655, 0.1740) [4 per cell]
F (0.1674, 0.7366, 0.4814) [4 per cell]

Largest 6 diffraction maxima, by angle, 2θ = 10–90°:
| hkl | d (Å) | I/Imax |
| --- | --- | --- |
| 2 0 0 | 4.805 | 38 |
| 2 0 -2 | 4.626 | 45 |
| 0 1 2 | 4.164 | 100 |
| 2 1 -2 | 3.604 | 58 |
| 0 0 4 | 3.020 | 33 |
| 0 2 0 | 2.874 | 30 |

# 2
Simulated X-ray diffraction stick pattern
Compound: CsReOF6
Radiation: Cu Kα X-rays
Structure: a structure optimized by DFT (GGA-PBE)
Kinematic intensities with the Lorentz-polarization factor, no thermal factor.

Structure:
a = 8.2183 Å, b = 7.2752 Å, c = 10.9898 Å
α = 90.00°, β = 92.65°, γ = 90.00°
Space group P2_1/c (No. 14)
One atom of each set of equivalent atoms:
Cs (0.2197, 0.2413, 0.9995) [4 per cell]
Re (0.2834, 0.7202, 0.2629) [4 per cell]
O (0.4213, 0.7400, 0.1521) [4 per cell]
F (0.1039, 0.6619, 0.1492) [4 per cell]
F (0.1275, 0.6867, 0.3908) [4 per cell]
F (0.1723, 0.5530, 0.7207) [4 per cell]
F (0.2696, 0.0469, 0.7465) [4 per cell]
F (0.3772, 0.5866, 0.8648) [4 per cell]
F (0.4401, 0.6099, 0.3785) [4 per cell]

Largest 6 diffraction maxima, by angle, 2θ = 10–90°:
| hkl | d (Å) | I/Imax |
| --- | --- | --- |
| 2 0 0 | 4.105 | 46 |
| 1 1 -2 | 3.926 | 100 |
| 1 1 2 | 3.808 | 78 |
| 0 2 0 | 3.638 | 35 |
| 2 2 0 | 2.722 | 23 |
| 1 3 2 | 2.131 | 20 |

# 3
Simulated X-ray diffraction stick pattern
Compound: CsSO3F
Radiation: Cu Kα X-rays
Structure: a structure optimized by DFT (GGA-PBE)
Kinematic intensities with the Lorentz-polarization factor, no thermal factor.

Structure:
a = 7.9082 Å, b = 8.2836 Å, c = 8.2128 Å
α = 90.00°, β = 114.16°, γ = 90.00°
Space group P2_1/c (No. 14)
One atom of each set of equivalent atoms:
Cs (0.2236, 0.1209, 0.2183) [4 per cell]
S (0.2422, 0.6169, 0.2135) [4 per cell]
O (0.1061, 0.7443, 0.1390) [4 per cell]
O (0.1940, 0.0026, 0.8177) [4 per cell]
O (0.3262, 0.5534, 0.0993) [4 per cell]
F (0.4185, 0.7143, 0.3656) [4 per cell]

Largest 6 diffraction maxima, by angle, 2θ = 10–90°:
| hkl | d (Å) | I/Imax |
| --- | --- | --- |
| 0 0 2 | 3.747 | 47 |
| 0 2 1 | 3.625 | 100 |
| 2 0 0 | 3.608 | 45 |
| 2 0 -2 | 3.380 | 43 |
| 2 2 -1 | 2.855 | 45 |
| 2 2 1 | 2.336 | 28 |

# 4
Simulated X-ray diffraction stick pattern
Compound: CsSbSO4F2
Radiation: Cu Kα X-rays
Structure: a structure optimized by DFT (GGA-PBE)
Kinematic intensities with the Lorentz-polarization factor, no thermal factor.

Structure:
a = 10.1372 Å, b = 11.6943 Å, c = 5.4672 Å
α = 90.00°, β = 90.00°, γ = 90.00°
Space group Pna2_1 (No. 33)
One atom of each set of equivalent atoms:
Cs (0.0143, 0.1608, 0.0000) [4 per cell]
Sb (0.1728, 0.5806, 0.9900) [4 per cell]
S (0.2029, 0.3658, 0.5497) [4 per cell]
O (0.0874, 0.3382, 0.3976) [4 per cell]
O (0.1509, 0.4220, 0.7855) [4 per cell]
O (0.2014, 0.9393, 0.9257) [4 per cell]
O (0.2305, 0.7575, 0.1410) [4 per cell]
F (0.1337, 0.0618, 0.4654) [4 per cell]
F (0.1783, 0.6551, 0.6695) [4 per cell]

Largest 6 diffraction maxima, by angle, 2θ = 10–90°:
| hkl | d (Å) | I/Imax |
| --- | --- | --- |
| 1 2 1 | 3.716 | 100 |
| 2 1 1 | 3.542 | 80 |
| 3 1 0 | 3.246 | 40 |
| 0 3 1 | 3.174 | 22 |
| 0 0 2 | 2.734 | 28 |
| 3 4 1 | 2.049 | 25 |

# 5
Simulated X-ray diffraction stick pattern
Compound: Cs2Sb2OF10
Radiation: Cu Kα X-rays
Structure: a structure optimized by DFT (GGA-PBE)
Kinematic intensities with the Lorentz-polarization factor, no thermal factor.

Structure:
a = 7.5968 Å, b = 5.4652 Å, c = 14.2733 Å
α = 90.00°, β = 100.60°, γ = 90.00°
Space group P2/c (No. 13)
One atom of each set of equivalent atoms:
Cs (0.2346, 0.0905, 0.4072) [4 per cell]
Sb (0.2938, 0.4832, 0.6665) [4 per cell]
O (0.5000, 0.3702, 0.2500) [2 per cell]
F (0.0863, 0.3488, 0.5835) [4 per cell]
F (0.1521, 0.2317, 0.1835) [4 per cell]
F (0.2103, 0.3340, 0.7728) [4 per cell]
F (0.3591, 0.3606, 0.0557) [4 per cell]
F (0.4196, 0.1931, 0.6381) [4 per cell]

Largest 6 diffraction maxima, by angle, 2θ = 10–90°:
| hkl | d (Å) | I/Imax |
| --- | --- | --- |
| 0 1 2 | 4.311 | 26 |
| 1 1 -2 | 3.931 | 100 |
| 2 0 0 | 3.734 | 48 |
| 1 1 2 | 3.562 | 65 |
| 1 0 -4 | 3.426 | 21 |
| 3 1 -2 | 2.268 | 21 |